No. 1
Starting from a crystal structure in Alexandria, relaxed with PBE, the powder XRD pattern of NaAc3 was simulated for a wavelength of 1.5418 Å.
Lines closer than 0.1° are merged.

Crystal structure
Lattice parameters (Å, degrees): 3.986 6.453 6.760 90.00 90.00 90.00
Atoms (fractional coordinates):
Na (0.000, 0.000, 0.000)
Ac (0.000, 0.500, 0.360)
Ac (0.500, 0.000, 0.492)
Ac (0.500, 0.500, 0.857)

Main lines, in order of falling intensity (2θ = 10–80°):
d/Å  2θ/deg  I (rel.)
3.031  29.47  100.0
3.227  27.65  34.7
2.994  29.84  33.8
3.383  26.35  25.4
1.823  50.04  23.8
1.676  54.77  19.7
3.433  25.95  19.0
6.760  13.10  16.1
1.962  46.29  16.1
2.334  38.58  14.3

***

No. 2
Starting from a crystal structure in Alexandria, relaxed with PBE, the powder XRD pattern of Ac3HoIn was simulated for a wavelength of 1.5418 Å.
Lines closer than 0.1° are merged.

Crystal structure
Lattice parameters (Å, degrees): 13.550 13.550 5.268 90.00 90.00 157.53
Atoms (fractional coordinates):
Ac (0.056, 0.944, 0.750)
Ac (0.250, 0.750, 0.750)
Ac (0.441, 0.559, 0.750)
Ac (0.559, 0.441, 0.250)
Ac (0.750, 0.250, 0.250)
Ac (0.944, 0.056, 0.250)
Ho (0.347, 0.653, 0.250)
Ho (0.653, 0.347, 0.750)
In (0.154, 0.846, 0.250)
In (0.846, 0.154, 0.750)

Main lines, in order of falling intensity (2θ = 10–80°):
d/Å  2θ/deg  I (rel.)
3.053  29.25  100.0
2.637  34.00  35.0
1.872  48.64  22.8
2.658  33.72  16.5
1.593  57.90  15.0
1.590  58.01  14.9
1.865  48.84  12.8
1.527  60.67  12.0
1.601  57.59  11.8
1.214  78.81  9.6

***

No. 3
Starting from a crystal structure in Alexandria, relaxed with PBE, the powder XRD pattern of Be22Re was simulated for a wavelength of 1.5418 Å.
Lines closer than 0.1° are merged.

Crystal structure
Lattice parameters (Å, degrees): 8.132 8.132 8.132 60.00 60.00 60.00
Atoms (fractional coordinates):
Be (0.000, 0.000, 0.000)
Be (0.000, 0.000, 0.500)
Be (0.000, 0.500, 0.000)
Be (0.000, 0.500, 0.500)
Be (0.010, 0.010, 0.740)
Be (0.010, 0.740, 0.010)
Be (0.010, 0.740, 0.740)
Be (0.176, 0.176, 0.443)
Be (0.176, 0.176, 0.705)
Be (0.176, 0.443, 0.176)
Be (0.176, 0.443, 0.705)
Be (0.176, 0.705, 0.176)
Be (0.176, 0.705, 0.443)
Be (0.260, 0.260, 0.990)
Be (0.260, 0.990, 0.260)
Be (0.260, 0.990, 0.990)
Be (0.295, 0.557, 0.824)
Be (0.295, 0.824, 0.557)
Be (0.295, 0.824, 0.824)
Be (0.443, 0.176, 0.176)
Be (0.443, 0.176, 0.705)
Be (0.443, 0.705, 0.176)
Be (0.500, 0.000, 0.000)
Be (0.500, 0.000, 0.500)
Be (0.500, 0.500, 0.000)
Be (0.500, 0.500, 0.500)
Be (0.557, 0.295, 0.824)
Be (0.557, 0.824, 0.295)
Be (0.557, 0.824, 0.824)
Be (0.705, 0.176, 0.176)
Be (0.705, 0.176, 0.443)
Be (0.705, 0.443, 0.176)
Be (0.740, 0.010, 0.010)
Be (0.740, 0.010, 0.740)
Be (0.740, 0.740, 0.010)
Be (0.824, 0.295, 0.557)
Be (0.824, 0.295, 0.824)
Be (0.824, 0.557, 0.295)
Be (0.824, 0.557, 0.824)
Be (0.824, 0.824, 0.295)
Be (0.824, 0.824, 0.557)
Be (0.990, 0.260, 0.260)
Be (0.990, 0.260, 0.990)
Be (0.990, 0.990, 0.260)
Re (0.375, 0.375, 0.375)
Re (0.625, 0.625, 0.625)

Main lines, in order of falling intensity (2θ = 10–80°):
d/Å  2θ/deg  I (rel.)
4.066  21.86  100.0
6.640  13.33  85.3
3.468  25.69  70.9
2.348  38.34  46.8
1.944  46.73  41.9
2.638  33.98  32.4
1.818  50.17  30.3
2.213  40.77  25.4
1.537  60.21  24.4
2.875  31.11  20.5

***

No. 4
Starting from a crystal structure in Alexandria, relaxed with PBE, the powder XRD pattern of DyHo5Tm2 was simulated for a wavelength of 1.5418 Å.
Lines closer than 0.1° are merged.

Crystal structure
Lattice parameters (Å, degrees): 7.018 14.036 4.958 90.00 90.00 90.00
Atoms (fractional coordinates):
Dy (0.000, 0.000, 0.000)
Dy (0.500, 0.500, 0.000)
Ho (0.000, 0.250, 0.000)
Ho (0.000, 0.500, 0.000)
Ho (0.000, 0.750, 0.000)
Ho (0.250, 0.125, 0.500)
Ho (0.250, 0.625, 0.500)
Ho (0.500, 0.000, 0.000)
Ho (0.500, 0.250, 0.000)
Ho (0.500, 0.750, 0.000)
Ho (0.750, 0.375, 0.500)
Ho (0.750, 0.875, 0.500)
Tm (0.250, 0.375, 0.500)
Tm (0.250, 0.875, 0.500)
Tm (0.750, 0.125, 0.500)
Tm (0.750, 0.625, 0.500)

Main lines, in order of falling intensity (2θ = 10–80°):
d/Å  2θ/deg  I (rel.)
2.864  31.23  100.0
2.480  36.22  50.6
1.496  62.05  42.6
1.754  52.15  35.9
1.432  65.14  12.3
1.240  76.87  5.7

***

No. 5
Starting from a crystal structure in Alexandria, relaxed with PBE, the powder XRD pattern of Rb4Cr3Cl10 was simulated for a wavelength of 1.5418 Å.
Lines closer than 0.1° are merged.

Crystal structure
Lattice parameters (Å, degrees): 18.421 18.421 18.421 164.30 164.30 22.27
Atoms (fractional coordinates):
Rb (0.068, 0.068, 0.000)
Rb (0.201, 0.201, 0.000)
Rb (0.799, 0.799, 0.000)
Rb (0.932, 0.932, 0.000)
Cr (0.361, 0.361, 0.000)
Cr (0.500, 0.500, 0.000)
Cr (0.639, 0.639, 0.000)
Cl (0.000, 0.500, 0.500)
Cl (0.138, 0.638, 0.500)
Cl (0.293, 0.293, 0.000)
Cl (0.362, 0.862, 0.500)
Cl (0.430, 0.430, 0.000)
Cl (0.500, 0.000, 0.500)
Cl (0.570, 0.570, 0.000)
Cl (0.638, 0.138, 0.500)
Cl (0.707, 0.707, 0.000)
Cl (0.862, 0.362, 0.500)

Main lines, in order of falling intensity (2θ = 10–80°):
d/Å  2θ/deg  I (rel.)
2.515  35.70  100.0
3.604  24.71  79.7
2.795  32.02  76.5
3.557  25.03  65.4
1.802  50.67  45.3
2.582  34.74  36.9
2.063  43.90  35.1
1.779  51.37  32.1
1.500  61.83  25.8
1.465  63.52  21.8

***

No. 6
Starting from a crystal structure in Alexandria, relaxed with PBE, the powder XRD pattern of MnIn2Se2S2 was simulated for a wavelength of 1.5418 Å.
Lines closer than 0.1° are merged.

Crystal structure
Lattice parameters (Å, degrees): 12.814 12.814 12.814 18.29 18.29 18.29
Atoms (fractional coordinates):
Mn (0.000, 0.000, 0.000)
In (0.553, 0.553, 0.553)
In (0.774, 0.774, 0.774)
Se (0.071, 0.071, 0.071)
Se (0.483, 0.483, 0.483)
S (0.655, 0.655, 0.655)
S (0.911, 0.911, 0.911)

Main lines, in order of falling intensity (2θ = 10–80°):
d/Å  2θ/deg  I (rel.)
3.304  26.98  100.0
2.036  44.49  98.0
2.144  42.16  60.1
3.467  25.69  59.4
2.579  34.79  57.2
4.199  21.16  46.3
3.512  25.36  44.9
2.243  40.20  44.5
1.881  48.40  36.9
2.953  30.27  29.0

***

No. 7
Starting from a crystal structure in Alexandria, relaxed with PBE, the powder XRD pattern of Al7Se6 was simulated for a wavelength of 1.5418 Å.
Lines closer than 0.1° are merged.

Crystal structure
Lattice parameters (Å, degrees): 10.424 10.424 10.424 32.30 32.30 32.30
Atoms (fractional coordinates):
Al (0.000, 0.000, 0.000)
Al (0.061, 0.061, 0.588)
Al (0.061, 0.588, 0.061)
Al (0.412, 0.939, 0.939)
Al (0.588, 0.061, 0.061)
Al (0.939, 0.412, 0.939)
Al (0.939, 0.939, 0.412)
Se (0.175, 0.175, 0.175)
Se (0.299, 0.299, 0.299)
Se (0.428, 0.428, 0.428)
Se (0.572, 0.572, 0.572)
Se (0.701, 0.701, 0.701)
Se (0.825, 0.825, 0.825)

Main lines, in order of falling intensity (2θ = 10–80°):
d/Å  2θ/deg  I (rel.)
2.900  30.83  100.0
2.980  29.99  55.3
3.236  27.57  54.7
2.160  41.83  52.6
2.078  43.55  49.7
2.502  35.90  28.2
4.756  18.66  25.9
1.450  64.24  25.0
1.689  54.31  21.1
1.632  56.38  19.3

***

No. 8
Starting from a crystal structure in Alexandria, relaxed with PBE, the powder XRD pattern of Ce2PaN4 was simulated for a wavelength of 1.5418 Å.
Lines closer than 0.1° are merged.

Crystal structure
Lattice parameters (Å, degrees): 5.933 10.312 3.581 90.00 90.00 90.00
Atoms (fractional coordinates):
Ce (0.049, 0.174, 0.000)
Ce (0.451, 0.674, 0.000)
Ce (0.549, 0.326, 0.000)
Ce (0.951, 0.826, 0.000)
Pa (0.000, 0.500, 0.500)
Pa (0.500, 0.000, 0.500)
N (0.164, 0.698, 0.500)
N (0.243, 0.467, 0.000)
N (0.257, 0.967, 0.000)
N (0.336, 0.198, 0.500)
N (0.664, 0.802, 0.500)
N (0.743, 0.033, 0.000)
N (0.757, 0.533, 0.000)
N (0.836, 0.302, 0.500)

Main lines, in order of falling intensity (2θ = 10–80°):
d/Å  2θ/deg  I (rel.)
2.939  30.41  100.0
2.972  30.07  89.1
2.089  43.30  42.5
1.712  53.52  29.7
1.534  60.35  25.8
1.709  53.64  21.8
5.144  17.24  14.7
1.791  51.01  10.0
1.325  71.14  8.8
1.238  77.02  7.7